Diffraction record for Rb2UPO6. The PXRD pattern is calculated, not measured: it uses the PBE geometry in Alexandria and copper Kα.
Peak positions follow from Bragg's law for the DFT cell and can differ from measured ones.

Structure:
a b c (Å): 5.6026 5.6026 10.3832
angles (deg): 90.00 90.00 90.00
Space group I4/mmm (No. 139)
Symmetry-distinct sites (fractional):
Rb 0.0000 0.5000 0.2500
U 0.0000 0.0000 0.0000
P 0.0000 0.0000 0.5000
O 0.0000 0.0000 0.1852
O 0.2052 0.2052 0.5000

Top 10 peaks for 10 to 80 degrees two-theta, sorted by position:
2θ/deg	I_rel	(hkl)
18.0	59	1 0 1
28.3	100	1 1 2
31.9	36	2 0 0
34.6	21	0 0 4
36.9	30	2 1 1
45.8	20	2 2 0
47.8	20	2 0 4
54.7	30	3 1 2
58.2	16	1 1 6
58.6	17	2 2 4

=====

Diffraction record for Nd2PdO. The PXRD pattern is calculated, not measured: it uses the PBE geometry in Alexandria and copper Kα.
Peak positions follow from Bragg's law for the DFT cell and can differ from measured ones.

Structure:
a b c (Å): 6.1140 5.9755 11.4598
angles (deg): 90.00 116.87 90.00
Space group P2/c (No. 13)
Symmetry-distinct sites (fractional):
Nd 0.0432 0.2420 0.0934
Nd 0.3223 0.2143 0.8536
Pd 0.4227 0.2963 0.3591
O 0.0322 0.1459 0.6231

Top 10 peaks for 10 to 80 degrees two-theta, sorted by position:
2θ/deg	I_rel	(hkl)
26.3	30	1 1 1
28.1	60	1 1 -3
28.8	41	1 0 2
29.3	86	2 0 -2
29.9	100	0 2 0
31.2	26	1 0 -4
35.1	56	0 0 4
40.8	30	2 1 1
42.4	57	2 2 -2
46.8	38	0 2 4